# Ta3SiNi2
Theoretical PXRD pattern, λ = 1.5418 Å (Cu Kα). Input: a DFT-relaxed cell (GGA-PBE, OQMD).

Structure:
Unit cell a=11.1595 b=11.1595 c=11.1595 alpha=90.00 beta=90.00 gamma=90.00
Space group Fd-3m (No. 227, origin choice 2)
Inequivalent atoms, fractional coordinates:
Ta (0.0763, 0.3750, 0.3750)
Si (0.0000, 0.0000, 0.5000)
Ni (0.0421, 0.0421, 0.7079)

Largest 12 diffraction maxima, by intensity, 10 to 90 degrees two-theta:
- 2θ 42.07, 2.148 Å, intensity 100, hkl 3 3 3
- 2θ 39.56, 2.278 Å, intensity 56, hkl 4 2 2
- 2θ 71.77, 1.315 Å, intensity 44, hkl 8 2 2
- 2θ 32.08, 2.790 Å, intensity 42, hkl 4 0 0
- 2θ 46.01, 1.973 Å, intensity 38, hkl 4 4 0
- 2θ 35.05, 2.560 Å, intensity 22, hkl 3 3 1
- 2θ 64.10, 1.453 Å, intensity 18, hkl 7 3 1
- 2θ 86.84, 1.122 Å, intensity 16, hkl 9 3 3
- 2θ 59.12, 1.563 Å, intensity 16, hkl 5 5 1
- 2θ 68.87, 1.363 Å, intensity 14, hkl 7 3 3
- 2θ 89.58, 1.094 Å, intensity 13, hkl 10 2 0
- 2θ 22.54, 3.945 Å, intensity 12, hkl 2 2 0